Entry 1:
Diffraction record for K2NaLuCl6. The X-ray diffraction stick pattern is computed, not measured: it uses a cell relaxed with PBE and Cu Kα, 1.54184 Å.

The 10 most intense peaks (2θ from 10° to 90°), sorted by position:
- d 6.129, intensity 100
- d 5.308, intensity 78
- d 3.753, intensity 82
- d 3.201, intensity 53
- d 2.654, intensity 94
- d 2.374, intensity 39
- d 2.167, intensity 37
- d 2.043, intensity 25
- d 1.876, intensity 62
- d 1.187, intensity 25

Structure:
```
K2NaLuCl6
1.0
0.000 5.308 5.308
5.308 0.000 5.308
5.308 5.308 0.000
K Na Lu Cl
2 1 1 6
Direct
0.250 0.250 0.250
0.750 0.750 0.750
0.000 0.000 0.000
0.500 0.500 0.500
0.258 0.258 0.742
0.258 0.742 0.258
0.258 0.742 0.742
0.742 0.258 0.258
0.742 0.258 0.742
0.742 0.742 0.258
```

---

Entry 2:
Diffraction record for TlV5S8. The X-ray diffraction stick pattern is computed, not measured: it uses a cell relaxed with PBE and Cu Kα, 1.54184 Å.

The 10 most intense peaks (2θ from 10° to 90°), sorted by position:
- d 8.499, intensity 36
- d 4.245, intensity 95
- d 4.136, intensity 62
- d 2.940, intensity 39
- d 2.675, intensity 50
- d 2.577, intensity 100
- d 2.485, intensity 50
- d 2.112, intensity 75
- d 2.102, intensity 38
- d 1.675, intensity 48

Structure:
```
TlV5S8
1.0
8.787 -1.631 0.000
8.787 1.631 0.000
-2.171 0.000 8.272
Tl V S
1 5 8
Direct
0.000 0.000 0.000
0.170 0.126 0.497
0.233 0.189 0.859
0.522 0.478 0.500
0.811 0.767 0.141
0.874 0.830 0.503
0.097 0.052 0.679
0.281 0.237 0.340
0.361 0.317 0.000
0.437 0.393 0.680
0.607 0.563 0.320
0.683 0.639 0.000
0.763 0.719 0.660
0.948 0.903 0.321
```

---

Entry 3:
Diffraction record for MgPb2. The X-ray diffraction stick pattern is computed, not measured: it uses a cell relaxed with PBE and Cu Kα, 1.54184 Å.

The 10 most intense peaks (2θ from 10° to 90°), sorted by position:
- d 7.993, intensity 25
- d 3.996, intensity 25
- d 3.031, intensity 25
- d 2.978, intensity 31
- d 2.664, intensity 20
- d 2.635, intensity 100
- d 1.824, intensity 20
- d 1.750, intensity 21
- d 1.463, intensity 20
- d 1.458, intensity 17

Structure:
```
MgPb2
1.0
3.500 0.000 0.000
-1.750 3.031 0.000
0.000 0.000 15.986
Mg Pb
2 4
Direct
0.333 0.667 0.250
0.667 0.333 0.750
0.333 0.667 0.594
0.333 0.667 0.906
0.667 0.333 0.094
0.667 0.333 0.406
```

---

Entry 4:
Diffraction record for UCu4Se2O14. The X-ray diffraction stick pattern is computed, not measured: it uses a cell relaxed with PBE and Cu Kα, 1.54184 Å.

The 10 most intense peaks (2θ from 10° to 90°), sorted by position:
- d 5.198, intensity 31
- d 4.984, intensity 100
- d 4.406, intensity 44
- d 4.183, intensity 31
- d 3.973, intensity 40
- d 3.690, intensity 52
- d 3.410, intensity 28
- d 3.301, intensity 50
- d 2.407, intensity 28
- d 2.294, intensity 33

Structure:
```
UCu4Se2O14
1.0
5.885 0.000 0.000
0.000 5.384 0.000
0.000 0.000 19.935
U Cu Se O
2 8 4 28
Direct
0.000 0.186 0.000
0.500 0.814 0.500
0.000 0.105 0.250
0.000 0.892 0.747
0.248 0.607 0.249
0.252 0.393 0.749
0.500 0.108 0.247
0.500 0.895 0.750
0.748 0.393 0.749
0.752 0.607 0.249
0.000 0.146 0.582
0.000 0.482 0.417
0.500 0.518 0.917
0.500 0.854 0.082
0.000 0.189 0.667
0.000 0.433 0.332
0.000 0.472 0.048
0.000 0.491 0.794
0.000 0.701 0.201
0.000 0.897 0.952
0.224 0.681 0.430
0.224 0.947 0.570
0.243 0.286 0.213
0.245 0.071 0.785
0.255 0.929 0.285
0.257 0.714 0.713
0.276 0.053 0.070
0.276 0.319 0.930
0.500 0.103 0.452
0.500 0.299 0.701
0.500 0.509 0.294
0.500 0.528 0.548
0.500 0.567 0.832
0.500 0.811 0.167
0.724 0.053 0.070
0.724 0.319 0.930
0.743 0.714 0.713
0.745 0.929 0.285
0.755 0.071 0.785
0.757 0.286 0.213
0.776 0.681 0.430
0.776 0.947 0.570
```